Computed powder diffractogram
Compound: Mg2ZnSn
Radiation: λ = 1.5418 Å (Cu Kα)
Structure: DFT lattice parameters and positions (PBE)

```
Mg2ZnSn
1.0
7.0364 0.0000 0.0000
0.0000 7.0364 0.0000
0.0000 0.0000 7.0364
Mg Zn Sn
8 4 4
Cartesian
0.0000 0.0000 0.0000
0.0000 3.5182 3.5182
1.7591 1.7591 1.7591
1.7591 5.2773 5.2773
3.5182 0.0000 3.5182
3.5182 3.5182 0.0000
5.2773 1.7591 5.2773
5.2773 5.2773 1.7591
1.7591 1.7591 5.2773
1.7591 5.2773 1.7591
5.2773 1.7591 1.7591
5.2773 5.2773 5.2773
0.0000 0.0000 3.5182
0.0000 3.5182 0.0000
3.5182 0.0000 0.0000
3.5182 3.5182 3.5182
```

Peak list (6 most intense, 2θ from 5° to 70°, in order of falling intensity)
| Position (°2θ) | d (Å) | I_rel |
| --- | --- | --- |
| 36.1 | 2.488 | 100 |
| 21.9 | 4.062 | 43 |
| 64.9 | 1.436 | 36 |
| 42.6 | 2.122 | 24 |
| 52.0 | 1.759 | 17 |
| 57.1 | 1.614 | 10 |